Starting from a structure optimized by DFT (GGA+U), the powder diffractogram of Li3VO3F2 was simulated for Cu Kα X-rays.
Intensities are scaled so that the largest is 100.

Top 8 peaks for 10 to 90 degrees two-theta, sorted by position:
index, 2θ/deg, Rel. int.
2 0 0, 19.74, 57
1 1 -1, 20.76, 60
1 1 1, 22.11, 100
0 0 2, 22.22, 38
1 1 2, 29.95, 69
0 2 0, 31.11, 37
4 0 -2, 43.53, 47
1 3 2, 54.64, 38

Cell and atoms:
Unit cell a=9.073 b=5.749 c=8.069 alpha=90.00 beta=97.46 gamma=90.00
Space group Cc (No. 9)
Unique sites:
Li  0.000  0.163  0.000 (multiplicity 4)
Li  0.197  0.178  0.368 (multiplicity 4)
Li  0.389  0.174  0.805 (multiplicity 4)
V  0.090  0.330  0.682 (multiplicity 4)
O  0.006  0.186  0.508 (multiplicity 4)
O  0.083  0.371  0.189 (multiplicity 4)
O  0.173  0.167  0.849 (multiplicity 4)
F  0.284  0.316  0.589 (multiplicity 4)
F  0.404  0.169  0.300 (multiplicity 4)

Starting from a structure optimized by DFT (GGA+U), the powder diffractogram of LiVOF3 was simulated for Cu Kα X-rays.
Intensities are scaled so that the largest is 100.

Top 8 peaks for 10 to 90 degrees two-theta, sorted by position:
index, 2θ/deg, Rel. int.
0 0 2, 15.12, 100
1 1 0, 24.63, 58
1 1 -2, 25.90, 43
2 0 -2, 33.56, 9
1 2 1, 41.27, 11
1 1 4, 43.93, 9
2 2 -2, 49.33, 11
3 1 -2, 54.19, 9

Cell and atoms:
Unit cell a=5.382 b=5.117 c=12.354 alpha=90.00 beta=108.46 gamma=90.00
Space group Pc (No. 7)
Unique sites:
Li  0.000  0.166  0.000 (multiplicity 2)
Li  0.508  0.323  0.999 (multiplicity 2)
V  0.489  0.002  0.240 (multiplicity 2)
V  0.981  0.476  0.259 (multiplicity 2)
O  0.361  0.099  0.105 (multiplicity 2)
O  0.742  0.299  0.287 (multiplicity 2)
F  0.149  0.387  0.911 (multiplicity 2)
F  0.238  0.184  0.302 (multiplicity 2)
F  0.276  0.326  0.722 (multiplicity 2)
F  0.649  0.117  0.903 (multiplicity 2)
F  0.781  0.200  0.712 (multiplicity 2)
F  0.868  0.385  0.097 (multiplicity 2)